(1)
Calculated powder XRD pattern of MgMnTe2O8 for Cu Kα, from the GGA+U geometry in Alexandria.
No peak broadening, texture or thermal motion is included.

Structure:
```
MgMnTe2O8
1.0
5.758 0.000 0.000
-2.879 4.986 0.000
0.000 0.000 6.199
Mg Mn Te O
1 1 2 8
direct
0.000 0.000 0.000 Mg
0.000 0.000 0.500 Mn
0.333 0.667 0.688 Te
0.667 0.333 0.312 Te
0.155 0.310 0.773 O
0.155 0.845 0.773 O
0.310 0.155 0.227 O
0.333 0.667 0.397 O
0.667 0.333 0.603 O
0.690 0.845 0.773 O
0.845 0.155 0.227 O
0.845 0.690 0.227 O
```

Top 10 peaks for 10° ≤ 2θ ≤ 90°, in order of rising 2θ:
2θ/deg  I/Imax
14.29  22
22.89  100
31.07  58
34.06  28
34.35  20
46.76  22
47.64  13
50.62  25
57.21  15
64.77  11



(2)
Calculated powder XRD pattern of K4Rb2Co2O5 for Cu Kα, from the GGA+U geometry in Alexandria.
No peak broadening, texture or thermal motion is included.

Structure:
```
K4Rb2Co2O5
1.0
6.800 0.000 0.000
0.000 6.800 0.000
0.000 0.000 11.877
K Rb Co O
8 4 4 10
direct
0.000 0.000 0.221 K
0.000 0.000 0.779 K
0.000 0.500 0.250 K
0.000 0.500 0.750 K
0.500 0.000 0.250 K
0.500 0.000 0.750 K
0.500 0.500 0.279 K
0.500 0.500 0.721 K
0.186 0.186 0.500 Rb
0.314 0.686 0.000 Rb
0.686 0.314 0.000 Rb
0.814 0.814 0.500 Rb
0.204 0.204 0.000 Co
0.296 0.704 0.500 Co
0.704 0.296 0.500 Co
0.796 0.796 0.000 Co
0.000 0.000 0.000 O
0.217 0.783 0.360 O
0.217 0.783 0.640 O
0.283 0.283 0.140 O
0.283 0.283 0.860 O
0.500 0.500 0.500 O
0.717 0.717 0.140 O
0.717 0.717 0.860 O
0.783 0.217 0.360 O
0.783 0.217 0.640 O
```

Top 10 peaks for 10° ≤ 2θ ≤ 90°, in order of rising 2θ:
2θ/deg  I/Imax
14.92  20
29.37  19
30.10  30
30.29  100
33.09  40
37.41  34
42.55  24
48.72  18
53.57  18
58.04  17



(3)
Calculated powder XRD pattern of NaVGe2O6 for Cu Kα, from the GGA+U geometry in Alexandria.
No peak broadening, texture or thermal motion is included.

Structure:
```
NaVGe2O6
1.0
5.081 -4.479 0.000
5.081 4.479 0.000
-1.572 0.000 5.359
Na V Ge O
2 2 4 12
direct
0.194 0.806 0.750 Na
0.806 0.194 0.250 Na
0.406 0.594 0.250 V
0.594 0.406 0.750 V
0.118 0.308 0.768 Ge
0.308 0.118 0.268 Ge
0.692 0.882 0.732 Ge
0.882 0.692 0.232 Ge
0.123 0.157 0.996 O
0.131 0.593 0.320 O
0.157 0.123 0.496 O
0.310 0.478 0.865 O
0.407 0.869 0.180 O
0.478 0.310 0.365 O
0.522 0.690 0.635 O
0.593 0.131 0.820 O
0.690 0.522 0.135 O
0.843 0.877 0.504 O
0.869 0.407 0.680 O
0.877 0.843 0.004 O
```

Top 10 peaks for 10° ≤ 2θ ≤ 90°, in order of rising 2θ:
2θ/deg  I/Imax
18.20  18
19.82  21
25.93  33
28.96  100
29.23  48
33.44  47
34.35  21
34.54  60
54.78  21
63.34  17



- What is the formula in the first record?
  MgMnTe2O8